ZnH12C2N6Cl4: theoretical powder diffractogram (Cu Kα, 1.54184 Å), based on a DFT-relaxed cell (GGA-PBE, Alexandria).

```
data_ZnH12C2N6Cl4
_chemical_formula_sum 'Zn2 H24 C4 N12 Cl8'
_cell_length_a 7.355
_cell_length_b 7.538
_cell_length_c 13.177
_cell_angle_alpha 78.63
_cell_angle_beta 81.73
_cell_angle_gamma 78.04
_space_group_name_H-M_alt 'P 1'
_space_group_IT_number 1
_space_group_name_Hall 'P 1'
loop_
_atom_site_label
_atom_site_fract_x
_atom_site_fract_y
_atom_site_fract_z
Zn1 0.047 0.311 0.273
Zn2 0.953 0.689 0.727
H1 0.123 0.682 0.401
H2 0.174 0.882 0.429
H3 0.179 0.756 0.166
H4 0.222 0.705 0.900
H5 0.228 0.576 0.028
H6 0.245 0.971 0.136
H7 0.252 0.124 0.969
H8 0.260 0.006 0.866
H9 0.343 0.221 0.648
H10 0.381 0.435 0.375
H11 0.401 0.507 0.672
H12 0.465 0.953 0.379
H13 0.535 0.047 0.621
H14 0.599 0.493 0.328
H15 0.619 0.565 0.625
H16 0.657 0.779 0.352
H17 0.740 0.994 0.134
H18 0.748 0.876 0.031
H19 0.755 0.029 0.864
H20 0.772 0.424 0.972
H21 0.778 0.295 0.100
H22 0.821 0.244 0.834
H23 0.826 0.118 0.571
H24 0.877 0.318 0.599
C1 0.242 0.850 0.012
C2 0.401 0.701 0.379
C3 0.599 0.299 0.621
C4 0.758 0.150 0.988
N1 0.220 0.752 0.413
N2 0.225 0.699 0.978
N3 0.245 0.848 0.114
N4 0.262 0.004 0.943
N5 0.464 0.533 0.357
N6 0.483 0.180 0.630
N7 0.517 0.820 0.370
N8 0.536 0.467 0.643
N9 0.738 0.996 0.057
N10 0.755 0.152 0.886
N11 0.775 0.301 0.022
N12 0.780 0.248 0.587
Cl1 0.062 0.378 0.729
Cl2 0.203 0.824 0.725
Cl3 0.204 0.201 0.417
Cl4 0.250 0.284 0.124
Cl5 0.750 0.716 0.876
Cl6 0.796 0.799 0.583
Cl7 0.797 0.176 0.275
Cl8 0.938 0.622 0.271
```

Principal peaks in the range 2θ from 5° to 70°, in order of rising 2θ:
12.37°, I = 100.0; 13.79°, I = 55.9; 15.01°, I = 85.2; 18.52°, I = 87.9; 19.54°, I = 48.2; 19.93°, I = 85.7; 24.51°, I = 70.0; 29.23°, I = 77.8